The following is a theoretical X-ray diffraction stick pattern of Sr4Ni3O9. It was derived from a crystal structure in Alexandria, relaxed with GGA+U, using Cu Kα (λ = 1.5418 Å).

```
Sr4Ni3O9
1.0
9.534 0.000 0.000
-4.767 8.257 0.000
0.000 0.000 7.835
Sr Ni O
12 9 27
direct
0.000 0.332 0.000 Sr
0.000 0.359 0.500 Sr
0.024 0.692 0.750 Sr
0.308 0.332 0.750 Sr
0.332 0.000 0.000 Sr
0.332 0.308 0.250 Sr
0.359 0.000 0.500 Sr
0.641 0.641 0.500 Sr
0.668 0.668 0.000 Sr
0.668 0.976 0.750 Sr
0.692 0.024 0.250 Sr
0.976 0.668 0.250 Sr
0.000 0.000 0.159 Ni
0.000 0.000 0.500 Ni
0.000 0.000 0.841 Ni
0.333 0.667 0.250 Ni
0.333 0.667 0.597 Ni
0.333 0.667 0.918 Ni
0.667 0.333 0.082 Ni
0.667 0.333 0.403 Ni
0.667 0.333 0.750 Ni
0.000 0.850 0.000 O
0.012 0.165 0.301 O
0.150 0.150 0.000 O
0.153 0.988 0.301 O
0.165 0.012 0.699 O
0.173 0.520 0.757 O
0.183 0.675 0.060 O
0.183 0.683 0.458 O
0.317 0.501 0.458 O
0.325 0.508 0.060 O
0.347 0.827 0.757 O
0.480 0.653 0.757 O
0.492 0.817 0.060 O
0.499 0.817 0.458 O
0.501 0.317 0.542 O
0.508 0.325 0.940 O
0.520 0.173 0.243 O
0.653 0.480 0.243 O
0.675 0.183 0.940 O
0.683 0.183 0.542 O
0.817 0.492 0.940 O
0.817 0.499 0.542 O
0.827 0.347 0.243 O
0.835 0.847 0.301 O
0.847 0.835 0.699 O
0.850 0.000 0.000 O
0.988 0.153 0.699 O
```

The 8 most intense peaks (2θ = 15–90°), low angle first:
(hkl)	2θ/deg	intensity
1 1 2	29.51	80
3 0 0	32.53	100
2 2 2	44.49	53
1 2 3	45.28	18
4 1 2	56.19	18
0 3 4	57.77	14
3 3 0	58.04	16
6 0 0	68.14	16